Calculated XRD peak list of Ba10Br4N5Cl for Cu Kα, 1.54184 Å, from a crystal structure in the Materials Project, relaxed with PBE.

Crystal structure
Unit cell a=39.7096 b=39.7096 c=39.7096 alpha=6.03 beta=6.03 gamma=6.03
Sites, in units of the cell vectors:
Ba (0.0454, 0.0454, 0.0454)
Ba (0.1543, 0.1543, 0.1543)
Ba (0.2457, 0.2457, 0.2457)
Ba (0.3537, 0.3537, 0.3537)
Ba (0.4457, 0.4457, 0.4457)
Ba (0.5543, 0.5543, 0.5543)
Ba (0.6463, 0.6463, 0.6463)
Ba (0.7543, 0.7543, 0.7543)
Ba (0.8457, 0.8457, 0.8457)
Ba (0.9546, 0.9546, 0.9546)
Br (0.2000, 0.2000, 0.2000)
Br (0.4000, 0.4000, 0.4000)
Br (0.6000, 0.6000, 0.6000)
Br (0.8000, 0.8000, 0.8000)
N (0.1000, 0.1000, 0.1000)
N (0.3004, 0.3004, 0.3004)
N (0.5000, 0.5000, 0.5000)
N (0.6996, 0.6996, 0.6996)
N (0.9000, 0.9000, 0.9000)
Cl (0.0000, 0.0000, 0.0000)

Peak list (6 most intense, 10 to 90 degrees two-theta, in order of rising 2θ)
2θ = 25.8°, 3.460 Å, intensity 37
2θ = 28.9°, 3.090 Å, intensity 100
2θ = 31.1°, 2.879 Å, intensity 41
2θ = 33.9°, 2.642 Å, intensity 20
2θ = 43.3°, 2.088 Å, intensity 40
2θ = 56.1°, 1.638 Å, intensity 28


Calculated XRD peak list of Cs2BaBr4 for Cu Kα, 1.54184 Å, from a crystal structure in the Materials Project, relaxed with PBE.

Crystal structure
Unit cell a=9.0954 b=9.0954 c=9.0954 alpha=110.53 beta=110.53 gamma=107.37
Sites, in units of the cell vectors:
Cs (0.3750, 0.0128, 0.1378)
Cs (0.7628, 0.6250, 0.6378)
Cs (0.8750, 0.2372, 0.8622)
Cs (0.9872, 0.1250, 0.3622)
Ba (0.2500, 0.7500, 0.5000)
Ba (0.5000, 0.5000, 0.0000)
Br (0.1485, 0.0291, 0.7466)
Br (0.1519, 0.5325, 0.7534)
Br (0.2825, 0.4019, 0.2534)
Br (0.4675, 0.2209, 0.6193)
Br (0.5981, 0.8515, 0.8807)
Br (0.6015, 0.8481, 0.3807)
Br (0.7791, 0.3985, 0.2466)
Br (0.9709, 0.7175, 0.1193)

Peak list (6 most intense, 10 to 90 degrees two-theta, in order of rising 2θ)
2θ = 26.3°, 3.393 Å, intensity 91
2θ = 27.1°, 3.290 Å, intensity 76
2θ = 27.2°, 3.278 Å, intensity 100
2θ = 31.5°, 2.839 Å, intensity 76
2θ = 32.0°, 2.800 Å, intensity 58
2θ = 32.2°, 2.777 Å, intensity 46


Calculated XRD peak list of Ba2MgCu3Br2O4 for Cu Kα, 1.54184 Å, from a crystal structure in the Materials Project, relaxed with PBE.

Crystal structure
Unit cell a=10.1303 b=10.1303 c=10.1303 alpha=147.40 beta=147.31 gamma=46.84
Sites, in units of the cell vectors:
Ba (0.1575, 0.1575, 0.0000)
Ba (0.8425, 0.8425, 0.0000)
Mg (0.0000, 0.0000, 0.0000)
Cu (0.0000, 0.5000, 0.5000)
Cu (0.5000, 0.0000, 0.5000)
Cu (0.5000, 0.5000, 0.0000)
Br (0.2503, 0.7503, 0.5000)
Br (0.7497, 0.2497, 0.5000)
O (0.2437, 0.2441, 0.4878)
O (0.2437, 0.7559, 0.9996)
O (0.7563, 0.2441, 0.0004)
O (0.7563, 0.7559, 0.5122)

Peak list (6 most intense, 10 to 90 degrees two-theta, in order of rising 2θ)
2θ = 21.2°, 4.193 Å, intensity 100
2θ = 29.3°, 3.043 Å, intensity 75
2θ = 31.4°, 2.847 Å, intensity 73
2θ = 36.6°, 2.456 Å, intensity 37
2θ = 38.2°, 2.355 Å, intensity 45
2θ = 45.0°, 2.013 Å, intensity 47


Calculated XRD peak list of Ba2Cu2Te4Br2O11 for Cu Kα, 1.54184 Å, from a crystal structure in the Materials Project, relaxed with PBE.

Crystal structure
Unit cell a=9.3936 b=9.3996 c=9.6954 alpha=99.59 beta=99.73 gamma=108.33
Sites, in units of the cell vectors:
Ba (0.0177, 0.2641, 0.0703)
Ba (0.4812, 0.2306, 0.9303)
Ba (0.5188, 0.7694, 0.0697)
Ba (0.9823, 0.7359, 0.9297)
Cu (0.1985, 0.4496, 0.8008)
Cu (0.3020, 0.0510, 0.2014)
Cu (0.6980, 0.9490, 0.7986)
Cu (0.8015, 0.5504, 0.1992)
Te (0.0659, 0.0425, 0.7132)
Te (0.2082, 0.6859, 0.2869)
Te (0.3022, 0.7965, 0.6993)
Te (0.4606, 0.4429, 0.3046)
Te (0.5394, 0.5571, 0.6954)
Te (0.6978, 0.2035, 0.3007)
Te (0.7918, 0.3141, 0.7131)
Te (0.9341, 0.9575, 0.2868)
Br (0.0792, 0.3266, 0.4570)
Br (0.3512, 0.1030, 0.5466)
Br (0.6488, 0.8970, 0.4534)
Br (0.9208, 0.6734, 0.5430)
O (0.0088, 0.5751, 0.1655)
O (0.0779, 0.0071, 0.1678)
O (0.1772, 0.2439, 0.8356)
O (0.1993, 0.9595, 0.8201)
O (0.2338, 0.6719, 0.8302)
O (0.2659, 0.8293, 0.1719)
O (0.2950, 0.5521, 0.1903)
O (0.3221, 0.2586, 0.1724)
O (0.4003, 0.6550, 0.6077)
O (0.4217, 0.4874, 0.8292)
O (0.4911, 0.9256, 0.8341)
O (0.5089, 0.0744, 0.1659)
O (0.5783, 0.5126, 0.1708)
O (0.5997, 0.3450, 0.3923)
O (0.6779, 0.7414, 0.8276)
O (0.7050, 0.4479, 0.8097)
O (0.7341, 0.1707, 0.8281)
O (0.7662, 0.3281, 0.1698)
O (0.8007, 0.0405, 0.1799)
O (0.8228, 0.7561, 0.1644)
O (0.9221, 0.9929, 0.8322)
O (0.9912, 0.4249, 0.8345)

Peak list (6 most intense, 10 to 90 degrees two-theta, in order of rising 2θ)
2θ = 28.9°, 3.089 Å, intensity 100
2θ = 29.0°, 3.084 Å, intensity 94
2θ = 29.0°, 3.075 Å, intensity 58
2θ = 30.3°, 2.948 Å, intensity 31
2θ = 31.3°, 2.856 Å, intensity 36
2θ = 32.6°, 2.751 Å, intensity 51


Calculated XRD peak list of BaBrF for Cu Kα, 1.54184 Å, from a crystal structure in the Materials Project, relaxed with PBE.

Crystal structure
Unit cell a=4.5772 b=4.5772 c=7.5686 alpha=90.00 beta=90.00 gamma=90.00
Sites, in units of the cell vectors:
Ba (0.2500, 0.2500, 0.1926)
Ba (0.7500, 0.7500, 0.8074)
Br (0.2500, 0.2500, 0.6491)
Br (0.7500, 0.7500, 0.3509)
F (0.2500, 0.7500, 0.0000)
F (0.7500, 0.2500, 0.0000)

Peak list (6 most intense, 10 to 90 degrees two-theta, in order of rising 2θ)
2θ = 27.6°, 3.237 Å, intensity 90
2θ = 30.7°, 2.917 Å, intensity 100
2θ = 36.5°, 2.460 Å, intensity 46
2θ = 39.4°, 2.289 Å, intensity 50
2θ = 50.7°, 1.800 Å, intensity 48
2θ = 52.3°, 1.749 Å, intensity 25


Calculated XRD peak list of BaBr2F8 for Cu Kα, 1.54184 Å, from a crystal structure in the Materials Project, relaxed with PBE.

Crystal structure
Unit cell a=8.1001 b=8.1001 c=8.1001 alpha=104.80 beta=104.80 gamma=119.29
Sites, in units of the cell vectors:
Ba (0.0000, 0.0000, 0.0000)
Ba (0.7500, 0.2500, 0.5000)
Br (0.2234, 0.6577, 0.1178)
Br (0.3423, 0.4600, 0.5657)
Br (0.5400, 0.1056, 0.8822)
Br (0.8944, 0.7766, 0.4343)
F (0.0692, 0.2833, 0.3345)
F (0.1938, 0.3977, 0.0321)
F (0.2021, 0.5380, 0.6918)
F (0.2653, 0.9308, 0.2141)
F (0.3655, 0.1617, 0.9679)
F (0.4620, 0.1538, 0.6641)
F (0.4641, 0.3666, 0.4194)
F (0.4896, 0.7979, 0.3359)
F (0.6023, 0.6345, 0.7961)
F (0.6334, 0.0528, 0.0975)
F (0.7167, 0.0512, 0.7859)
F (0.8383, 0.8062, 0.2039)
F (0.8462, 0.5104, 0.3082)
F (0.9472, 0.0446, 0.5806)
F (0.9488, 0.7347, 0.6655)
F (0.9554, 0.5359, 0.9025)

Peak list (6 most intense, 10 to 90 degrees two-theta, in order of rising 2θ)
2θ = 22.9°, 3.890 Å, intensity 100
2θ = 25.2°, 3.532 Å, intensity 52
2θ = 25.5°, 3.495 Å, intensity 20
2θ = 29.2°, 3.057 Å, intensity 20
2θ = 34.1°, 2.631 Å, intensity 20
2θ = 36.2°, 2.484 Å, intensity 37